Entry 1:
The following is a calculated XRD peak list of In4Cu. It was derived from a crystal structure in Alexandria, relaxed with GGA-PBE, using CuKα.

Main lines, by intensity (10° ≤ 2θ ≤ 80°):
2θ/deg	I (rel.)
34.8	100
41.7	40
61.8	30
30.4	27
27.9	24
56.9	23
44.7	16
78.6	15
70.1	15
39.8	12

Structure:
Lattice parameters (Å, degrees): 6.405 6.405 5.883 90.00 90.00 90.00
Positions (direct):
1 In 0.069 0.569 0.242
2 In 0.069 0.931 0.758
3 In 0.431 0.569 0.758
4 In 0.431 0.931 0.242
5 In 0.569 0.069 0.758
6 In 0.569 0.431 0.242
7 In 0.931 0.069 0.242
8 In 0.931 0.431 0.758
9 Cu 0.250 0.250 0.500
10 Cu 0.750 0.750 0.500


Entry 2:
The following is a calculated XRD peak list of Pr3Ho2. It was derived from a crystal structure in Alexandria, relaxed with GGA-PBE, using CuKα.

Main lines, by intensity (10° ≤ 2θ ≤ 80°):
2θ/deg	I (rel.)
30.1	100
31.6	83
29.1	51
35.5	35
28.1	29
52.1	27
31.9	24
37.9	21
41.7	18
66.9	16

Structure:
Lattice parameters (Å, degrees): 9.517 9.517 9.517 140.50 56.66 141.08
Positions (direct):
1 Pr 0.100 0.598 0.698
2 Pr 0.250 0.250 0.000
3 Pr 0.400 0.098 0.498
4 Pr 0.600 0.902 0.502
5 Pr 0.750 0.750 0.000
6 Pr 0.900 0.402 0.302
7 Ho 0.195 0.127 0.322
8 Ho 0.305 0.627 0.932
9 Ho 0.695 0.373 0.068
10 Ho 0.805 0.873 0.678


Entry 3:
The following is a calculated XRD peak list of TiNiS2N. It was derived from a crystal structure in Alexandria, relaxed with GGA-PBE, using CuKα.

Main lines, by intensity (10° ≤ 2θ ≤ 80°):
2θ/deg	I (rel.)
39.3	100
32.5	93
51.9	47
68.1	34
56.9	30
27.5	26
25.8	22
38.1	22
53.1	19
19.4	18

Structure:
Lattice parameters (Å, degrees): 4.579 4.579 3.448 90.00 90.00 90.00
Positions (direct):
1 Ti 0.000 0.000 0.000
2 Ni 0.500 0.500 0.500
3 S 0.000 0.500 0.500
4 S 0.500 0.000 0.500
5 N 0.500 0.500 0.000


Entry 4:
The following is a calculated XRD peak list of La6Ag5Os. It was derived from a crystal structure in Alexandria, relaxed with GGA-PBE, using CuKα.

Main lines, by intensity (10° ≤ 2θ ≤ 80°):
2θ/deg	I (rel.)
33.5	100
33.9	26
33.6	22
60.3	18
48.5	16
60.0	13
47.7	11
59.8	9
70.4	9
59.6	7

Structure:
Lattice parameters (Å, degrees): 9.247 9.247 9.247 146.73 131.28 60.28
Positions (direct):
1 La 0.081 0.346 0.735
2 La 0.224 0.000 0.224
3 La 0.389 0.654 0.735
4 La 0.611 0.346 0.265
5 La 0.776 0.000 0.776
6 La 0.919 0.654 0.265
7 Ag 0.187 0.187 0.000
8 Ag 0.330 0.830 0.500
9 Ag 0.500 0.500 0.000
10 Ag 0.670 0.170 0.500
11 Ag 0.813 0.813 0.000
12 Os 0.000 0.500 0.500